Li2NbTe: simulated XRD peak list (Cu Kα, 1.54184 Å), based on a structure optimized by DFT (GGA-PBE).
Peak positions follow from Bragg's law for the DFT cell and can differ from measured ones.

```
data_Li2NbTe
_chemical_formula_sum 'Li8 Nb4 Te4'
_space_group_name_H-M_alt 'F -4 3 m'
_space_group_IT_number 216
_space_group_name_Hall 'F -4 2 3'
_cell_length_a 6.5250
_cell_length_b 6.5250
_cell_length_c 6.5250
_cell_angle_alpha 90.00
_cell_angle_beta 90.00
_cell_angle_gamma 90.00
loop_
_atom_site_label
_atom_site_type_symbol
_atom_site_fract_x
_atom_site_fract_y
_atom_site_fract_z
Li1 Li 0.0000 0.0000 0.0000
Li2 Li 0.2500 0.2500 0.2500
Nb1 Nb 0.0000 0.0000 0.5000
Te1 Te 0.2500 0.2500 0.7500
```

Top 10 peaks for 10 to 90 degrees two-theta, by angle:
hkl 1 1 1, 23.62°, rel. 100
hkl 2 0 0, 27.34°, rel. 2
hkl 2 2 0, 39.04°, rel. 94
hkl 3 1 1, 46.14°, rel. 49
hkl 4 0 0, 56.41°, rel. 16
hkl 3 3 1, 61.99°, rel. 20
hkl 4 2 2, 70.73°, rel. 32
hkl 5 1 1, 75.75°, rel. 15
hkl 4 4 0, 83.88°, rel. 10
hkl 5 3 1, 88.69°, rel. 15